1.
Starting from the GGA+U geometry in the Materials Project, the powder X-ray diffraction pattern of K3FeO4 was computed for Cu Kα, 1.54184 Å.
Peak positions follow from Bragg's law for the DFT cell and can differ from measured ones.

The 10 most intense peaks (2θ from 5° to 70°), in order of falling intensity:
two_theta	d_spacing	Rel. int.	index
29.67	3.011	100	0 2 2
30.10	2.969	89	2 2 0
32.22	2.778	86	2 0 2
18.65	4.758	65	1 1 1
39.07	2.306	56	0 4 0
37.32	2.410	34	2 3 0
35.23	2.548	24	0 1 3
55.63	1.652	22	2 2 4
31.88	2.807	19	1 2 2
51.53	1.774	19	2 4 2

Atomic structure:
Lattice parameters (Å, degrees): 7.764 9.221 7.953 90.00 90.00 90.00
Space group Pnma (No. 62)
Inequivalent atoms, fractional coordinates:
K: 0.037 0.036 0.221 (multiplicity 8)
K: 0.172 0.750 0.444 (multiplicity 4)
Fe: 0.226 0.750 0.992 (multiplicity 4)
O: 0.021 0.750 0.080 (multiplicity 4)
O: 0.183 0.081 0.543 (multiplicity 8)
O: 0.212 0.750 0.775 (multiplicity 4)

2.
Starting from the GGA+U geometry in the Materials Project, the powder X-ray diffraction pattern of Li3V3Cr2O10 was computed for Cu Kα, 1.54184 Å.
Peak positions follow from Bragg's law for the DFT cell and can differ from measured ones.

The 10 most intense peaks (2θ from 5° to 70°), in order of falling intensity:
two_theta	d_spacing	Rel. int.	index
18.18	4.880	100	1 0 0
40.67	2.218	56	1 1 -2
12.15	7.287	50	0 0 1
43.55	2.078	50	-1 2 1
44.13	2.052	45	2 1 3
18.04	4.918	34	0 1 0
22.70	3.917	23	1 1 1
26.83	3.323	21	1 0 2
26.60	3.351	18	0 1 2
63.90	1.457	14	3 -1 2

Atomic structure:
Lattice parameters (Å, degrees): 5.115 5.168 7.829 73.41 73.88 79.20
Space group P-1 (No. 2)
Inequivalent atoms, fractional coordinates:
Li: 0.000 0.000 0.000 (multiplicity 1)
Li: 0.492 0.711 0.073 (multiplicity 2)
V: 0.006 0.182 0.618 (multiplicity 2)
V: 0.500 0.500 0.500 (multiplicity 1)
Cr: 0.012 0.395 0.191 (multiplicity 2)
O: 0.198 0.826 0.560 (multiplicity 2)
O: 0.206 0.028 0.172 (multiplicity 2)
O: 0.221 0.615 0.968 (multiplicity 2)
O: 0.234 0.469 0.363 (multiplicity 2)
O: 0.247 0.276 0.721 (multiplicity 2)